# Er2MgTl2W4O16
Calculated powder diffractogram, Cu Ka. Input: a cell relaxed with GGA+U.
No peak broadening, texture or thermal motion is included.

Peak list (6 most intense, 15° ≤ 2θ ≤ 90°, in order of rising 2θ)
hkl 2 2 0, d 3.335, I = 100; hkl 2 2 -2, d 3.074, I = 86; hkl 0 0 2, d 2.905, I = 53; hkl 3 1 0, d 2.739, I = 36; hkl 4 0 -2, d 2.723, I = 37; hkl 4 0 -4, d 1.872, I = 41

Lattice parameters (Å, degrees): 10.978 10.756 7.507 90.00 129.29 90.00
Space group C2 (No. 5)
Inequivalent atoms, fractional coordinates:
1 Er 0.000 0.000 0.000 (multiplicity 2)
2 Er 0.000 0.453 0.500 (multiplicity 2)
3 Mg 0.000 0.563 0.000 (multiplicity 2)
4 Tl 0.000 0.022 0.500 (multiplicity 2)
5 Tl 0.000 0.314 0.000 (multiplicity 2)
6 W 0.196 0.719 0.453 (multiplicity 4)
7 W 0.196 0.742 0.954 (multiplicity 4)
8 O 0.018 0.607 0.737 (multiplicity 4)
9 O 0.025 0.835 0.215 (multiplicity 4)
10 O 0.124 0.141 0.949 (multiplicity 4)
11 O 0.134 0.317 0.450 (multiplicity 4)
12 O 0.178 0.787 0.672 (multiplicity 4)
13 O 0.198 0.654 0.199 (multiplicity 4)
14 O 0.214 0.074 0.377 (multiplicity 4)
15 O 0.217 0.385 0.871 (multiplicity 4)